For La2TmI, a DFT-relaxed cell (PBE, Alexandria) gives the simulated powder XRD pattern in this record (Cu Kα X-rays).
Neutral-atom scattering factors, no anomalous dispersion.

```
La2TmI
1.0
3.754 0.000 0.000
0.000 3.754 0.000
0.000 0.000 9.750
La Tm I
2 1 1
Direct
0.000 0.000 0.242
0.000 0.000 0.758
0.500 0.500 0.500
0.500 0.500 0.000
```

Peak list (10 most intense, 10 to 80 degrees two-theta, most intense first)
(1 0 2), 2θ = 30.05°, I = 100.0; (1 1 0), 2θ = 33.77°, I = 36.8; (2 1 2), 2θ = 58.12°, I = 30.7; (1 1 4), 2θ = 50.86°, I = 22.7; (0 0 4), 2θ = 36.88°, I = 14.2; (2 0 0), 2θ = 48.51°, I = 13.3; (2 0 4), 2θ = 62.45°, I = 12.2; (1 0 6), 2θ = 62.26°, I = 12.0; (3 0 2), 2θ = 79.01°, I = 6.3; (2 2 0), 2θ = 71.03°, I = 4.2

For TbPrNd2Se5, a DFT-relaxed cell (PBE, Alexandria) gives the simulated powder XRD pattern in this record (Cu Kα X-rays).
Neutral-atom scattering factors, no anomalous dispersion.

```
TbPrNd2Se5
1.0
5.172 0.000 0.000
0.000 5.172 0.000
0.000 0.000 11.080
Tb Pr Nd Se
1 1 2 5
Direct
0.000 0.000 0.000
0.000 0.000 0.500
0.500 0.500 0.166
0.500 0.500 0.834
0.000 0.000 0.249
0.000 0.000 0.751
0.000 0.500 0.000
0.500 0.000 0.000
0.500 0.500 0.500
```

Peak list (10 most intense, 10 to 80 degrees two-theta, most intense first)
(1 1 0), 2θ = 24.34°, I = 100.0; (2 0 0), 2θ = 34.69°, I = 87.3; (1 1 3), 2θ = 34.51°, I = 48.3; (1 0 4), 2θ = 36.81°, I = 42.6; (1 0 3), 2θ = 29.72°, I = 39.3; (2 1 4), 2θ = 51.47°, I = 32.5; (2 2 0), 2θ = 49.88°, I = 31.0; (2 1 3), 2θ = 46.32°, I = 23.1; (2 0 4), 2θ = 48.14°, I = 21.1; (3 1 0), 2θ = 56.25°, I = 19.9

For Ce2Ni3P4Ru, a DFT-relaxed cell (PBE, Alexandria) gives the simulated powder XRD pattern in this record (Cu Kα X-rays).
Neutral-atom scattering factors, no anomalous dispersion.

```
Ce2Ni3P4Ru
1.0
4.063 0.000 0.000
0.000 4.063 0.000
0.000 0.000 9.201
Ce Ni P Ru
2 3 4 1
Direct
0.000 0.500 0.241
0.500 0.000 0.759
0.000 0.500 0.888
0.500 0.000 0.112
0.500 0.500 0.500
0.000 0.000 0.000
0.000 0.500 0.637
0.500 0.000 0.363
0.500 0.500 0.000
0.000 0.000 0.500
```

Peak list (10 most intense, 10 to 80 degrees two-theta, most intense first)
(1 1 2), 2θ = 36.88°, I = 100.0; (1 0 3), 2θ = 36.71°, I = 73.0; (2 0 0), 2θ = 44.60°, I = 57.4; (2 1 3), 2θ = 59.09°, I = 35.4; (1 0 1), 2θ = 23.94°, I = 27.6; (3 1 2), 2θ = 77.06°, I = 22.5; (2 2 0), 2θ = 64.92°, I = 19.9; (1 1 1), 2θ = 32.65°, I = 18.9; (1 1 0), 2θ = 31.13°, I = 18.7; (1 0 5), 2θ = 54.76°, I = 18.0